# 1
Mg2GaB2O6: calculated PXRD pattern (Cu Kα, 1.54184 Å), based on a crystal structure in Alexandria, relaxed with PBE.

The 10 most intense peaks (2θ = 15–90°), in order of rising 2θ:
2theta	I/Imax	(hkl)
15.19	38	0 0 1
25.54	100	0 1 1
35.74	30	1 1 0
37.11	72	1 0 2
39.04	38	2 -1 1
44.44	35	2 0 1
58.29	26	1 2 1
60.18	25	1 1 3
64.22	22	3 0 0
65.11	20	3 -1 2

Crystal structure
Unit cell a=5.0244 b=5.0244 c=5.8332 alpha=90.00 beta=90.00 gamma=120.00
Space group P-3 (No. 147)
Unique sites:
1 Mg 0.3333 0.6667 0.3143
2 Ga 0.0000 0.0000 0.0000
3 B 0.3333 0.6667 0.7726
4 O 0.0662 0.6846 0.7669

***

# 2
PrY2ScSe4: calculated PXRD pattern (Cu Kα, 1.54184 Å), based on a crystal structure in Alexandria, relaxed with PBE.

The 10 most intense peaks (2θ = 15–90°), in order of rising 2θ:
2theta	I/Imax	(hkl)
30.92	100	1 1 1
43.76	12	2 0 2
43.94	24	1 1 -3
44.63	24	3 1 -1
44.85	12	0 2 0
53.93	6	0 0 4
55.45	12	2 2 -2
64.43	11	2 2 2
72.66	10	0 2 4
73.66	10	4 2 0

Crystal structure
Unit cell a=7.045 b=4.042 c=7.187 alpha=90.00 beta=108.88 gamma=90.00
Space group P2/m (No. 10)
Unique sites:
1 Pr 0.000 0.000 0.000
2 Y 0.500 0.000 0.500
3 Y 0.500 0.500 0.000
4 Sc 0.000 0.500 0.500
5 Se 0.244 0.000 0.734
6 Se 0.255 0.500 0.266

***

# 3
NiTe: calculated PXRD pattern (Cu Kα, 1.54184 Å), based on a crystal structure in Alexandria, relaxed with PBE.

The 10 most intense peaks (2θ = 15–90°), in order of rising 2θ:
2theta	I/Imax	(hkl)
22.04	21	1 1 0
25.15	41	0 2 0
29.48	82	1 1 1
31.92	32	0 2 1
36.63	56	2 0 0
39.25	46	0 0 2
47.08	100	1 3 1
54.77	34	2 0 2
73.39	25	3 3 1
76.72	22	1 3 3

Crystal structure
Unit cell a=4.906 b=7.083 c=4.590 alpha=90.00 beta=90.00 gamma=90.00
Space group Cmcm (No. 63)
Unique sites:
1 Ni 0.000 0.096 0.250
2 Te 0.000 0.265 0.750

***

# 4
PH4F2: calculated PXRD pattern (Cu Kα, 1.54184 Å), based on a crystal structure in Alexandria, relaxed with PBE.

The 10 most intense peaks (2θ = 15–90°), in order of rising 2θ:
2theta	I/Imax	(hkl)
21.78	59	0 0 1
22.13	100	1 1 0
24.88	50	1 1 -1
26.87	45	2 0 -1
30.79	54	2 0 0
39.19	25	0 2 1
42.40	12	2 2 -1
51.04	19	2 2 -2
55.87	13	0 2 2
58.01	11	2 2 1

Crystal structure
Unit cell a=6.801 b=5.564 c=4.780 alpha=90.00 beta=121.36 gamma=90.00
Space group Cm (No. 8)
Unique sites:
1 P 0.000 0.000 0.000
2 H 0.249 0.000 0.114
3 H 0.249 0.500 0.807
4 H 0.489 0.301 0.792
5 F 0.025 0.207 0.271

***

# 5
Pm2ScIn2: calculated PXRD pattern (Cu Kα, 1.54184 Å), based on a crystal structure in Alexandria, relaxed with PBE.

The 10 most intense peaks (2θ = 15–90°), in order of rising 2θ:
2theta	I/Imax	(hkl)
27.41	15	0 0 2
31.35	100	1 5 0
33.62	75	1 1 2
34.20	28	0 4 2
37.35	34	2 0 0
41.30	25	0 6 2
42.12	15	1 5 2
51.56	26	0 10 0
56.89	18	2 6 2
66.11	23	1 5 4

Crystal structure
Unit cell a=4.816 b=17.709 c=6.508 alpha=90.00 beta=90.00 gamma=90.00
Space group Cmc2_1 (No. 36)
Unique sites:
1 Pm 0.000 0.001 0.000
2 Pm 0.000 0.206 0.991
3 Sc 0.000 0.392 0.752
4 In 0.000 0.180 0.493
5 In 0.000 0.402 0.252

***

# 6
BSb: calculated PXRD pattern (Cu Kα, 1.54184 Å), based on a crystal structure in Alexandria, relaxed with PBE.

The 10 most intense peaks (2θ = 15–90°), in order of rising 2θ:
2theta	I/Imax	(hkl)
18.97	15	1 2 0
26.10	14	1 1 1
26.95	41	1 3 0
28.80	14	2 0 1
30.07	100	2 1 1
30.81	43	2 3 0
35.79	19	3 1 1
50.40	17	1 5 1
55.10	21	4 4 1
57.47	15	2 3 2

Crystal structure
Unit cell a=10.462 b=10.462 c=3.848 alpha=90.00 beta=90.00 gamma=90.00
Space group P4/m (No. 83)
Unique sites:
1 B 0.102 0.386 0.000
2 B 0.116 0.731 0.500
3 Sb 0.113 0.268 0.500
4 Sb 0.118 0.608 0.000

***

# 7
MgAgIr: calculated PXRD pattern (Cu Kα, 1.54184 Å), based on a crystal structure in Alexandria, relaxed with PBE.

The 10 most intense peaks (2θ = 15–90°), in order of rising 2θ:
2theta	I/Imax	(hkl)
25.82	21	0 0 4
35.92	29	1 1 1
37.90	31	0 2 0
39.15	27	0 0 6
40.54	100	1 1 3
55.63	19	0 2 6
59.31	11	1 1 7
70.24	19	1 3 3
71.89	17	1 1 9
87.72	11	2 2 6

Crystal structure
Unit cell a=3.010 b=4.748 c=13.804 alpha=90.00 beta=90.00 gamma=90.00
Space group Fmm2 (No. 42)
Unique sites:
1 Mg 0.000 0.000 0.000
2 Ag 0.000 0.000 0.671
3 Ir 0.000 0.000 0.347

***

# 8
K4U3TlS12: calculated PXRD pattern (Cu Kα, 1.54184 Å), based on a crystal structure in Alexandria, relaxed with PBE.

The 10 most intense peaks (2θ = 15–90°), in order of rising 2θ:
2theta	I/Imax	(hkl)
17.02	99	2 0 0
24.16	100	2 2 0
34.43	51	4 0 0
38.65	52	4 2 0
42.51	46	4 2 2
49.49	35	4 4 0
52.72	27	6 0 0
55.81	22	6 2 0
67.25	25	6 4 2
75.21	16	6 4 4

Crystal structure
Unit cell a=10.418 b=10.418 c=10.418 alpha=90.00 beta=90.00 gamma=90.00
Space group Im-3m (No. 229)
Unique sites:
1 K 0.250 0.250 0.250
2 U 0.000 0.000 0.500
3 Tl 0.000 0.000 0.000
4 S 0.000 0.000 0.266
5 S 0.000 0.250 0.500

***

# 9
SmEr5Zn6: calculated PXRD pattern (Cu Kα, 1.54184 Å), based on a crystal structure in Alexandria, relaxed with PBE.

The 10 most intense peaks (2θ = 15–90°), in order of rising 2θ:
2theta	I/Imax	(hkl)
24.96	8	0 0 2
25.09	15	1 3 0
35.70	100	1 3 2
35.83	20	2 0 0
51.50	14	2 6 0
64.04	14	2 0 4
64.18	14	1 9 2
64.29	14	3 3 2
75.59	9	2 6 4
86.72	9	3 9 2

Crystal structure
Unit cell a=5.013 b=15.074 c=7.135 alpha=90.00 beta=90.00 gamma=90.00
Space group Cmmm (No. 65)
Unique sites:
1 Sm 0.000 0.000 0.000
2 Er 0.000 0.000 0.500
3 Er 0.000 0.332 0.000
4 Er 0.000 0.335 0.500
5 Zn 0.000 0.169 0.255
6 Zn 0.000 0.500 0.255

***

# 10
CsAgSeO4: calculated PXRD pattern (Cu Kα, 1.54184 Å), based on a crystal structure in Alexandria, relaxed with PBE.

The 10 most intense peaks (2θ = 15–90°), in order of rising 2θ:
2theta	I/Imax	(hkl)
17.48	42	1 0 1
19.61	25	1 1 0
27.87	49	2 0 0
29.16	100	1 1 2
35.39	16	2 0 2
39.83	19	2 2 0
45.60	12	2 2 2
50.11	41	1 3 2
52.48	20	2 0 4
60.46	12	2 2 4

Crystal structure
Unit cell a=6.402 b=6.402 c=8.318 alpha=90.00 beta=90.00 gamma=90.00
Space group I-4 (No. 82)
Unique sites:
1 Cs 0.000 0.000 0.000
2 Ag 0.000 0.000 0.500
3 Se 0.000 0.500 0.250
4 O 0.102 0.693 0.363